Entry 1:
This entry pairs a crystal structure of GaAgTe2 with its calculated PXRD pattern. Radiation: Cu Ka. Structure: a PBE-relaxed structure.
Neutral-atom scattering factors, no anomalous dispersion.

Top 10 peaks for 2θ from 10° to 90°, by angle:
| two_theta | I (rel.) | h k l |
| --- | --- | --- |
| 24.33 | 100 | 1 0 1 |
| 39.95 | 52 | 1 1 2 |
| 40.85 | 25 | 2 0 0 |
| 46.52 | 17 | 1 0 3 |
| 48.12 | 31 | 2 1 1 |
| 59.15 | 8 | 2 2 0 |
| 63.61 | 13 | 2 1 3 |
| 71.94 | 9 | 2 0 4 |
| 73.78 | 16 | 3 1 2 |
| 79.61 | 7 | 3 2 1 |

Structure:
Cell lengths 4.4178, 4.4178, 6.5278 Å; angles 90.00, 90.00, 90.00 degrees
Atoms (fractional coordinates):
Ga (0.0000, 0.0000, 0.0000)
Ag (0.5000, 0.5000, 0.5000)
Te (0.0000, 0.5000, 0.2404)
Te (0.5000, 0.0000, 0.7596)


Entry 2:
This entry pairs a crystal structure of GePdO3 with its calculated PXRD pattern. Radiation: Cu Ka. Structure: a PBE-relaxed structure.
Neutral-atom scattering factors, no anomalous dispersion.

Top 9 peaks for 2θ from 10° to 90°, by angle:
| two_theta | I (rel.) | h k l |
| --- | --- | --- |
| 23.61 | 1 | 1 0 0 |
| 33.64 | 100 | 1 1 0 |
| 41.51 | 9 | 1 1 1 |
| 48.31 | 33 | 2 0 0 |
| 54.46 | 1 | 2 1 0 |
| 60.16 | 38 | 2 1 1 |
| 70.72 | 19 | 2 2 0 |
| 80.64 | 16 | 3 1 0 |
| 85.47 | 2 | 3 1 1 |

Structure:
Cell lengths 3.7677, 3.7677, 3.7677 Å; angles 90.00, 90.00, 90.00 degrees
Atoms (fractional coordinates):
Ge (0.0000, 0.0000, 0.0000)
Pd (0.5000, 0.5000, 0.5000)
O (0.0000, 0.0000, 0.5000)
O (0.0000, 0.5000, 0.0000)
O (0.5000, 0.0000, 0.0000)


Entry 3:
This entry pairs a crystal structure of Th2BiTe2 with its calculated PXRD pattern. Radiation: Cu Ka. Structure: a PBE-relaxed structure.
Neutral-atom scattering factors, no anomalous dispersion.

Top 10 peaks for 2θ from 10° to 90°, by angle:
| two_theta | I (rel.) | h k l |
| --- | --- | --- |
| 25.76 | 35 | 0 0 5 |
| 27.03 | 100 | 1 0 0 |
| 31.02 | 18 | 0 0 6 |
| 37.68 | 53 | 1 0 5 |
| 38.59 | 39 | 1 1 0 |
| 41.60 | 32 | 1 0 6 |
| 46.98 | 29 | 1 1 5 |
| 50.32 | 19 | 1 1 6 |
| 63.00 | 19 | 2 1 0 |
| 69.23 | 18 | 2 1 5 |

Structure:
Cell lengths 3.2992, 3.2992, 17.2951 Å; angles 90.00, 90.00, 90.00 degrees
Atoms (fractional coordinates):
Th (0.0000, 0.0000, 0.1874)
Th (0.0000, 0.0000, 0.8126)
Bi (0.0000, 0.0000, 0.0000)
Te (0.0000, 0.0000, 0.3625)
Te (0.0000, 0.0000, 0.6375)